Theoretical powder XRD pattern of K2PPb for a wavelength of 1.5418 Å, from a structure optimized by DFT (GGA-PBE).
Kinematic intensities with the Lorentz-polarization factor, no thermal factor.

```
data_K2PPb
_chemical_formula_sum 'K4 P2 Pb2'
_cell_length_a 4.0725
_cell_length_b 5.6695
_cell_length_c 11.6839
_cell_angle_alpha 90.00
_cell_angle_beta 90.00
_cell_angle_gamma 90.00
_symmetry_space_group_name_H-M 'I m m 2'
_symmetry_Int_Tables_number 44
_symmetry_space_group_name_Hall 'I 2 -2'
loop_
_atom_site_label
_atom_site_type_symbol
_atom_site_fract_x
_atom_site_fract_y
_atom_site_fract_z
K1 K 0.0000 0.0000 0.0000
K2 K 0.0000 0.5000 0.1913
P1 P 0.0000 0.5000 0.7381
Pb1 Pb 0.0000 0.0000 0.3887
```

Largest 10 diffraction maxima, by angle, 5 to 70 degrees two-theta:
- 2θ = 15.17°, intensity 50.4, hkl 0 0 2
- 2θ = 17.39°, intensity 84.4, hkl 0 1 1
- 2θ = 23.13°, intensity 40.9, hkl 1 0 1
- 2θ = 26.96°, intensity 28.6, hkl 1 1 0
- 2θ = 27.79°, intensity 51.8, hkl 0 1 3
- 2θ = 31.07°, intensity 100.0, hkl 1 1 2
- 2θ = 31.56°, intensity 33.0, hkl 0 2 0
- 2θ = 31.79°, intensity 31.1, hkl 1 0 3
- 2θ = 41.23°, intensity 22.3, hkl 1 1 4
- 2θ = 45.41°, intensity 23.6, hkl 1 2 3

***

Theoretical powder XRD pattern of CaPH4O5F for a wavelength of 1.5418 Å, from a structure optimized by DFT (GGA-PBE).
Kinematic intensities with the Lorentz-polarization factor, no thermal factor.

```
data_CaPH4O5F
_chemical_formula_sum 'Ca2 P2 H8 O10 F2'
_cell_length_a 5.7870
_cell_length_b 6.1451
_cell_length_c 8.3871
_cell_angle_alpha 109.22
_cell_angle_beta 92.25
_cell_angle_gamma 114.06
_symmetry_space_group_name_H-M 'P -1'
_symmetry_Int_Tables_number 2
_symmetry_space_group_name_Hall '-P 1'
loop_
_atom_site_label
_atom_site_type_symbol
_atom_site_fract_x
_atom_site_fract_y
_atom_site_fract_z
Ca1 Ca 0.0257 0.3247 0.1476
P1 P 0.4449 0.1505 0.8481
H1 H 0.1098 0.8520 0.3653
H2 H 0.1939 0.7712 0.5101
H3 H 0.2228 0.2828 0.4721
H4 H 0.3894 0.1985 0.3341
O1 O 0.0788 0.7018 0.3955
O2 O 0.2203 0.2035 0.3494
O3 O 0.2523 0.1449 0.9664
O4 O 0.2703 0.6926 0.0660
O5 O 0.3653 0.8765 0.7173
F1 F 0.4101 0.3054 0.7331
```

Largest 10 diffraction maxima, by angle, 5 to 70 degrees two-theta:
- 2θ = 11.41°, intensity 100.0, hkl 0 0 1
- 2θ = 19.67°, intensity 45.2, hkl 1 -1 1
- 2θ = 22.95°, intensity 65.7, hkl -1 1 1
- 2θ = 26.77°, intensity 60.8, hkl 1 -1 2
- 2θ = 29.29°, intensity 23.0, hkl 1 1 0
- 2θ = 30.50°, intensity 32.1, hkl 1 1 -2
- 2θ = 31.66°, intensity 37.9, hkl -1 1 2
- 2θ = 33.48°, intensity 22.0, hkl 0 2 -2
- 2θ = 34.25°, intensity 25.6, hkl 2 0 -1
- 2θ = 34.54°, intensity 35.5, hkl 0 2 0

***

Theoretical powder XRD pattern of Sm4PuTe5 for a wavelength of 1.5418 Å, from a structure optimized by DFT (GGA-PBE).
Kinematic intensities with the Lorentz-polarization factor, no thermal factor.

```
data_Sm4PuTe5
_chemical_formula_sum 'Sm8 Pu2 Te10'
_cell_length_a 9.9297
_cell_length_b 9.9297
_cell_length_c 6.2796
_cell_angle_alpha 90.00
_cell_angle_beta 90.00
_cell_angle_gamma 90.00
_symmetry_space_group_name_H-M 'I 4/m'
_symmetry_Int_Tables_number 87
_symmetry_space_group_name_Hall '-I 4'
loop_
_atom_site_label
_atom_site_type_symbol
_atom_site_fract_x
_atom_site_fract_y
_atom_site_fract_z
Sm1 Sm 0.0975 0.2996 0.0000
Pu1 Pu 0.0000 0.0000 0.5000
Te1 Te 0.0000 0.0000 0.0000
Te2 Te 0.0993 0.2981 0.5000
```

Largest 10 diffraction maxima, by angle, 5 to 70 degrees two-theta:
- 2θ = 12.61°, intensity 1.4, hkl 1 1 0
- 2θ = 16.70°, intensity 1.4, hkl 1 0 1
- 2θ = 24.55°, intensity 4.6, hkl 2 1 1
- 2θ = 28.43°, intensity 100.0, hkl 1 3 0
- 2θ = 40.63°, intensity 76.7, hkl 4 2 0
- 2θ = 48.05°, intensity 2.3, hkl 2 1 3
- 2θ = 50.33°, intensity 27.6, hkl 4 2 2
- 2θ = 58.82°, intensity 13.0, hkl 0 0 4
- 2θ = 64.70°, intensity 1.0, hkl 5 0 3
- 2θ = 66.60°, intensity 35.6, hkl 1 3 4

***

Theoretical powder XRD pattern of Si2GeSe6 for a wavelength of 1.5418 Å, from a structure optimized by DFT (GGA-PBE).
Kinematic intensities with the Lorentz-polarization factor, no thermal factor.

```
data_Si2GeSe6
_chemical_formula_sum 'Si8 Ge4 Se24'
_cell_length_a 13.2984
_cell_length_b 13.6620
_cell_length_c 6.2015
_cell_angle_alpha 90.00
_cell_angle_beta 116.72
_cell_angle_gamma 90.00
_symmetry_space_group_name_H-M 'C 1 2/c 1'
_symmetry_Int_Tables_number 15
_symmetry_space_group_name_Hall '-C 2yc'
loop_
_atom_site_label
_atom_site_type_symbol
_atom_site_fract_x
_atom_site_fract_y
_atom_site_fract_z
Si1 Si 0.2163 0.0809 0.3531
Ge1 Ge 0.0000 0.2926 0.2500
Se1 Se 0.1004 0.4053 0.5837
Se2 Se 0.1229 0.2138 0.1148
Se3 Se 0.1600 0.0684 0.6530
```

Largest 10 diffraction maxima, by angle, 5 to 70 degrees two-theta:
- 2θ = 15.70°, intensity 18.0, hkl 1 1 -1
- 2θ = 19.81°, intensity 16.1, hkl 2 2 0
- 2θ = 23.39°, intensity 22.1, hkl 3 1 0
- 2θ = 28.44°, intensity 100.0, hkl 1 3 1
- 2θ = 28.76°, intensity 69.6, hkl 2 0 -2
- 2θ = 30.05°, intensity 30.2, hkl 4 0 0
- 2θ = 42.55°, intensity 20.7, hkl 6 0 -2
- 2θ = 50.94°, intensity 13.6, hkl 5 5 0
- 2θ = 51.18°, intensity 20.8, hkl 5 3 -3
- 2θ = 52.23°, intensity 17.6, hkl 3 7 0

***

Theoretical powder XRD pattern of Ag3WCl8 for a wavelength of 1.5418 Å, from a structure optimized by DFT (GGA-PBE).
Kinematic intensities with the Lorentz-polarization factor, no thermal factor.

```
data_Ag3WCl8
_chemical_formula_sum 'Ag6 W2 Cl16'
_cell_length_a 8.5954
_cell_length_b 8.8440
_cell_length_c 8.9783
_cell_angle_alpha 90.00
_cell_angle_beta 90.00
_cell_angle_gamma 90.00
_symmetry_space_group_name_H-M 'C 2 2 2'
_symmetry_Int_Tables_number 21
_symmetry_space_group_name_Hall 'C 2 2'
loop_
_atom_site_label
_atom_site_type_symbol
_atom_site_fract_x
_atom_site_fract_y
_atom_site_fract_z
Ag1 Ag 0.0000 0.0000 0.0000
Ag2 Ag 0.2500 0.2500 0.8375
W1 W 0.0000 0.0000 0.5000
Cl1 Cl 0.0000 0.2606 0.5000
Cl2 Cl 0.0000 0.2738 0.0000
Cl3 Cl 0.1959 0.0019 0.3135
```

Largest 10 diffraction maxima, by angle, 5 to 70 degrees two-theta:
- 2θ = 14.37°, intensity 100.0, hkl 1 1 0
- 2θ = 17.45°, intensity 54.4, hkl 1 1 1
- 2θ = 24.53°, intensity 53.4, hkl 1 1 2
- 2θ = 28.76°, intensity 70.0, hkl 2 0 2
- 2θ = 32.10°, intensity 20.2, hkl 1 3 0
- 2θ = 37.99°, intensity 22.5, hkl 1 3 2
- 2θ = 38.65°, intensity 27.8, hkl 3 1 2
- 2θ = 40.81°, intensity 21.1, hkl 0 4 0
- 2θ = 42.07°, intensity 34.3, hkl 4 0 0
- 2θ = 50.69°, intensity 25.2, hkl 2 4 2

***

Theoretical powder XRD pattern of Tc7Se6 for a wavelength of 1.5418 Å, from a structure optimized by DFT (GGA-PBE).
Kinematic intensities with the Lorentz-polarization factor, no thermal factor.

```
data_Tc7Se6
_chemical_formula_sum 'Tc21 Se18'
_cell_length_a 5.1864
_cell_length_b 5.1864
_cell_length_c 33.9505
_cell_angle_alpha 90.00
_cell_angle_beta 90.00
_cell_angle_gamma 120.00
_symmetry_space_group_name_H-M 'R -3 m'
_symmetry_Int_Tables_number 166
_symmetry_space_group_name_Hall '-R 3 2"'
loop_
_atom_site_label
_atom_site_type_symbol
_atom_site_fract_x
_atom_site_fract_y
_atom_site_fract_z
Tc1 Tc 0.0000 0.0000 0.0000
Tc2 Tc 0.0020 0.5010 0.4043
Se1 Se 0.0000 0.0000 0.1313
Se2 Se 0.0000 0.0000 0.3242
Se3 Se 0.0000 0.0000 0.4281
```

Largest 10 diffraction maxima, by angle, 5 to 70 degrees two-theta:
- 2θ = 7.81°, intensity 100.0, hkl 0 0 3
- 2θ = 15.66°, intensity 62.2, hkl 0 0 6
- 2θ = 27.06°, intensity 26.0, hkl 1 0 7
- 2θ = 34.59°, intensity 23.3, hkl 1 1 0
- 2θ = 38.18°, intensity 26.0, hkl 1 1 6
- 2θ = 40.24°, intensity 27.2, hkl 0 2 1
- 2θ = 41.60°, intensity 33.5, hkl 0 2 4
- 2θ = 42.33°, intensity 92.9, hkl 2 0 5
- 2θ = 44.46°, intensity 36.1, hkl 0 2 7
- 2θ = 50.24°, intensity 36.1, hkl 2 0 11